For GaSb2Rh8, a structure optimized by DFT (PBE) gives the calculated powder XRD pattern in this record (Cu Kα, 1.54184 Å).
Kinematic intensities with the Lorentz-polarization factor, no thermal factor.

Cell and atoms:
a = 3.979 Å, b = 7.460 Å, c = 11.854 Å
α = 90.00°, β = 90.00°, γ = 90.00°
Space group Immm (No. 71)
Unique sites:
Ga: 0.000 0.000 0.000 x2
Sb: 0.000 0.000 0.346 x4
Rh: 0.000 0.245 0.166 x8
Rh: 0.000 0.269 0.500 x4
Rh: 0.000 0.500 0.331 x4

Top 10 peaks for 5 to 70 degrees two-theta, in order of rising 2θ:
Position (°2θ)	I/Imax	h k l
14.9	3	0 0 2
23.6	4	1 0 1
33.8	4	1 2 1
40.2	100	1 2 3
45.6	20	2 0 0
45.9	17	0 0 6
48.8	14	0 4 0
66.7	11	2 0 6
69.0	10	2 4 0
69.3	9	0 4 6